1.
Computed PXRD pattern
Compound: Tb4Sm5Sc3
Radiation: CuKα
Structure: a cell relaxed with PBE

Cell and atoms:
a b c (Å): 11.325 5.256 13.136
angles (deg): 90.00 107.18 90.00
Space group C2/m (No. 12)
Asymmetric unit:
Tb1 0.049 0.000 0.290 (multiplicity 4)
Tb2 0.137 0.000 0.966 (multiplicity 4)
Sm1 0.000 0.000 0.500 (multiplicity 2)
Sm2 0.095 0.500 0.135 (multiplicity 4)
Sm3 0.172 0.500 0.755 (multiplicity 4)
Sc1 0.000 0.500 0.500 (multiplicity 2)
Sc2 0.226 0.500 0.409 (multiplicity 4)

Most intense lines, 2θ = 15–90°, in order of rising 2θ:
| 2θ (°) | d [Å] | I_rel | hkl |
| --- | --- | --- | --- |
| 25.0 | 3.561 | 17 | 1 1 2 |
| 30.0 | 2.982 | 100 | 3 1 -2 |
| 30.3 | 2.950 | 84 | 1 1 3 |
| 32.4 | 2.762 | 20 | 3 1 -3 |
| 34.1 | 2.628 | 54 | 0 2 0 |
| 34.7 | 2.587 | 39 | 2 0 -5 |
| 36.0 | 2.497 | 42 | 4 0 1 |
| 49.4 | 1.844 | 29 | 2 2 -5 |
| 50.4 | 1.810 | 45 | 4 2 1 |
| 58.5 | 1.577 | 15 | 3 3 -2 |

---

2.
Computed PXRD pattern
Compound: Tb5SmSc2
Radiation: CuKα
Structure: a cell relaxed with PBE

Cell and atoms:
a b c (Å): 7.139 11.142 12.308
angles (deg): 90.00 90.00 90.00
Space group Fmm2 (No. 42)
Asymmetric unit:
Tb1 0.000 0.000 0.000 (multiplicity 4)
Tb2 0.250 0.000 0.247 (multiplicity 8)
Tb3 0.250 0.250 0.417 (multiplicity 8)
Sm1 0.000 0.000 0.501 (multiplicity 4)
Sc1 0.000 0.250 0.165 (multiplicity 8)

Most intense lines, 2θ = 15–90°, in order of rising 2θ:
| 2θ (°) | d [Å] | I_rel | hkl |
| --- | --- | --- | --- |
| 28.9 | 3.088 | 17 | 2 0 2 |
| 29.0 | 3.077 | 9 | 0 0 4 |
| 32.1 | 2.786 | 24 | 0 4 0 |
| 33.2 | 2.698 | 100 | 2 2 2 |
| 43.8 | 2.067 | 17 | 0 4 4 |
| 51.2 | 1.785 | 8 | 4 0 0 |
| 51.4 | 1.779 | 13 | 2 0 6 |
| 58.0 | 1.591 | 20 | 2 6 2 |
| 61.9 | 1.499 | 14 | 2 4 6 |
| 62.4 | 1.488 | 11 | 4 2 4 |

---

3.
Computed PXRD pattern
Compound: Tb3Sm7Sc
Radiation: CuKα
Structure: a cell relaxed with PBE

Cell and atoms:
a b c (Å): 6.171 9.650 12.419
angles (deg): 93.66 92.31 103.10
Space group P1 (No. 1)
Asymmetric unit:
Tb1 0.000 0.000 0.000 (multiplicity 1)
Tb2 0.066 0.536 0.310 (multiplicity 1)
Tb3 0.219 0.548 0.812 (multiplicity 1)
Tb4 0.459 0.281 0.902 (multiplicity 1)
Tb5 0.632 0.272 0.405 (multiplicity 1)
Tb6 0.885 0.994 0.489 (multiplicity 1)
Sm1 0.095 0.183 0.269 (multiplicity 1)
Sm2 0.154 0.715 0.579 (multiplicity 1)
Sm3 0.166 0.358 0.546 (multiplicity 1)
Sm4 0.277 0.721 0.093 (multiplicity 1)
Sm5 0.348 0.905 0.359 (multiplicity 1)
Sm6 0.415 0.083 0.629 (multiplicity 1)
Sm7 0.432 0.919 0.874 (multiplicity 1)
Sm8 0.549 0.096 0.133 (multiplicity 1)
Sm9 0.608 0.623 0.449 (multiplicity 1)
Sm10 0.731 0.793 0.711 (multiplicity 1)
Sm11 0.744 0.634 0.955 (multiplicity 1)
Sm12 0.807 0.809 0.223 (multiplicity 1)
Sm13 0.930 0.173 0.768 (multiplicity 1)
Sm14 0.993 0.362 0.039 (multiplicity 1)
Sc1 0.528 0.451 0.176 (multiplicity 1)
Sc2 0.698 0.440 0.678 (multiplicity 1)

Most intense lines, 2θ = 15–90°, in order of rising 2θ:
| 2θ (°) | d [Å] | I_rel | hkl |
| --- | --- | --- | --- |
| 29.1 | 3.070 | 44 | 2 -1 0 |
| 30.2 | 2.955 | 26 | 1 1 3 |
| 31.1 | 2.877 | 100 | 0 3 -2 |
| 31.5 | 2.840 | 76 | 1 2 2 |
| 31.8 | 2.815 | 79 | 1 0 -4 |
| 32.4 | 2.764 | 37 | 2 -2 1 |
| 33.1 | 2.708 | 62 | 1 -1 4 |
| 33.1 | 2.706 | 72 | -1 3 2 |
| 33.7 | 2.663 | 36 | 2 1 -1 |
| 49.6 | 1.838 | 25 | 0 2 6 |

---

4.
Computed PXRD pattern
Compound: Tb2Sm4Sc
Radiation: CuKα
Structure: a cell relaxed with PBE

Cell and atoms:
a b c (Å): 6.151 24.888 6.161
angles (deg): 90.00 109.32 90.00
Space group C2/c (No. 15)
Asymmetric unit:
Tb1 0.000 0.107 0.250 (multiplicity 4)
Tb2 0.000 0.323 0.750 (multiplicity 4)
Sm1 0.000 0.037 0.750 (multiplicity 4)
Sm2 0.000 0.178 0.750 (multiplicity 4)
Sm3 0.000 0.252 0.250 (multiplicity 4)
Sm4 0.000 0.464 0.750 (multiplicity 4)
Sc1 0.000 0.393 0.250 (multiplicity 4)

Most intense lines, 2θ = 15–90°, in order of rising 2θ:
| 2θ (°) | d [Å] | I_rel | hkl |
| --- | --- | --- | --- |
| 30.8 | 2.903 | 100 | 2 0 0 |
| 35.7 | 2.514 | 50 | 2 0 -2 |
| 51.4 | 1.779 | 24 | 2 0 2 |
| 51.4 | 1.776 | 12 | 3 7 -1 |
| 61.1 | 1.517 | 28 | 3 7 1 |
| 61.2 | 1.515 | 14 | 4 0 -2 |
| 64.2 | 1.451 | 9 | 4 0 0 |
| 83.8 | 1.155 | 6 | 4 0 2 |
| 83.9 | 1.153 | 12 | 5 7 -1 |
| 86.6 | 1.124 | 8 | 3 7 -5 |

---

5.
Computed PXRD pattern
Compound: Tb7Sm2Sc
Radiation: CuKα
Structure: a cell relaxed with PBE

Cell and atoms:
a b c (Å): 6.505 28.660 3.456
angles (deg): 90.00 90.00 90.00
Space group Cmmm (No. 65)
Asymmetric unit:
Tb1 0.000 0.000 0.000 (multiplicity 2)
Tb2 0.000 0.315 0.500 (multiplicity 4)
Tb3 0.243 0.404 0.000 (multiplicity 8)
Sm1 0.000 0.206 0.000 (multiplicity 4)
Sc1 0.000 0.500 0.500 (multiplicity 2)

Most intense lines, 2θ = 15–90°, in order of rising 2θ:
| 2θ (°) | d [Å] | I_rel | hkl |
| --- | --- | --- | --- |
| 25.8 | 3.456 | 22 | 0 0 1 |
| 28.1 | 3.172 | 16 | 2 2 0 |
| 29.4 | 3.035 | 18 | 1 1 1 |
| 30.2 | 2.962 | 35 | 2 4 0 |
| 31.2 | 2.865 | 51 | 0 10 0 |
| 32.0 | 2.800 | 21 | 0 6 1 |
| 33.3 | 2.691 | 100 | 2 6 0 |
| 40.1 | 2.249 | 28 | 2 4 1 |
| 40.9 | 2.206 | 18 | 0 10 1 |
| 59.7 | 1.549 | 15 | 2 14 1 |

---

6.
Computed PXRD pattern
Compound: Tb8SmSc3
Radiation: CuKα
Structure: a cell relaxed with PBE

Cell and atoms:
a b c (Å): 6.038 7.802 8.559
angles (deg): 111.39 90.08 104.91
Space group P1 (No. 1)
Asymmetric unit:
Tb1 0.000 0.000 0.000 (multiplicity 1)
Tb2 0.077 0.750 0.581 (multiplicity 1)
Tb3 0.161 0.493 0.162 (multiplicity 1)
Tb4 0.410 0.747 0.918 (multiplicity 1)
Tb5 0.491 0.487 0.496 (multiplicity 1)
Tb6 0.744 0.744 0.248 (multiplicity 1)
Tb7 0.824 0.492 0.833 (multiplicity 1)
Tb8 0.910 0.241 0.413 (multiplicity 1)
Sm1 0.656 0.001 0.668 (multiplicity 1)
Sc1 0.245 0.245 0.748 (multiplicity 1)
Sc2 0.328 0.997 0.331 (multiplicity 1)
Sc3 0.573 0.244 0.083 (multiplicity 1)

Most intense lines, 2θ = 15–90°, in order of rising 2θ:
| 2θ (°) | d [Å] | I_rel | hkl |
| --- | --- | --- | --- |
| 31.4 | 2.850 | 100 | 2 -1 1 |
| 36.4 | 2.468 | 50 | 1 1 2 |
| 52.4 | 1.746 | 23 | 2 -2 4 |
| 52.5 | 1.743 | 12 | 3 1 0 |
| 62.4 | 1.489 | 24 | 1 0 5 |
| 62.4 | 1.487 | 17 | 3 0 3 |
| 65.5 | 1.426 | 9 | 0 2 -6 |
| 85.8 | 1.133 | 6 | 2 -3 7 |
| 85.9 | 1.131 | 7 | 4 -3 5 |
| 88.6 | 1.104 | 7 | 3 -1 6 |

---

7.
Computed PXRD pattern
Compound: Tb2Sm4Sc
Radiation: CuKα
Structure: a cell relaxed with PBE

Cell and atoms:
a b c (Å): 6.115 6.598 11.472
angles (deg): 90.00 104.71 90.00
Space group P2_1/m (No. 11)
Asymmetric unit:
Tb1 0.112 0.250 0.497 (multiplicity 2)
Tb2 0.220 0.250 0.080 (multiplicity 2)
Sm1 0.142 0.010 0.785 (multiplicity 4)
Sm2 0.348 0.750 0.055 (multiplicity 2)
Sm3 0.457 0.750 0.629 (multiplicity 2)
Sc1 0.355 0.750 0.336 (multiplicity 2)

Most intense lines, 2θ = 15–90°, in order of rising 2θ:
| 2θ (°) | d [Å] | I_rel | hkl |
| --- | --- | --- | --- |
| 28.2 | 3.169 | 17 | 1 1 2 |
| 29.2 | 3.057 | 29 | 2 0 -1 |
| 31.1 | 2.879 | 22 | 1 2 0 |
| 31.6 | 2.833 | 100 | 1 0 3 |
| 32.0 | 2.800 | 47 | 1 0 -4 |
| 33.1 | 2.708 | 25 | 1 2 1 |
| 33.2 | 2.698 | 70 | 1 2 -2 |
| 33.4 | 2.684 | 28 | 2 1 -2 |
| 43.4 | 2.086 | 18 | 2 2 1 |
| 55.7 | 1.650 | 19 | 0 4 0 |

---

8.
Computed PXRD pattern
Compound: TbSm10Sc6
Radiation: CuKα
Structure: a cell relaxed with PBE

Cell and atoms:
a b c (Å): 9.4898 9.4898 6.7070
angles (deg): 90.00 90.00 120.00
Space group P-31m (No. 162)
Asymmetric unit:
Tb1 0.0000 0.0000 0.0000 (multiplicity 1)
Sm1 0.0000 0.2831 0.3228 (multiplicity 6)
Sm2 0.3333 0.6667 0.0000 (multiplicity 2)
Sm3 0.3333 0.6667 0.5000 (multiplicity 2)
Sc1 0.0000 0.3603 0.8276 (multiplicity 6)

Most intense lines, 2θ = 15–90°, in order of rising 2θ:
| 2θ (°) | d [Å] | I_rel | hkl |
| --- | --- | --- | --- |
| 23.0 | 3.874 | 20 | 2 -1 1 |
| 28.7 | 3.106 | 7 | 2 1 0 |
| 31.7 | 2.819 | 17 | 3 -1 1 |
| 32.7 | 2.739 | 100 | 1 1 2 |
| 46.9 | 1.937 | 16 | 4 -2 2 |
| 50.3 | 1.815 | 7 | 3 2 1 |
| 58.4 | 1.581 | 26 | 2 -1 4 |
| 61.3 | 1.513 | 7 | 4 0 3 |
| 64.7 | 1.442 | 7 | 6 -1 1 |
| 78.0 | 1.225 | 10 | 5 -1 4 |